Computed XRD peak list of SrVCuS4 for a wavelength of 1.5418 Å, from a GGA-PBE-relaxed structure.

Cell and atoms:
abc: 6.5511 6.5511 6.5511
angles: 122.47 122.47 85.77
Positions (direct):
1 Sr 0.0000 0.0000 0.0000
2 V 0.2500 0.7500 0.5000
3 Cu 0.5000 0.5000 0.0000
4 S 0.2065 0.6203 0.0924
5 S 0.3797 0.4722 0.5862
6 S 0.5278 0.1140 0.9076
7 S 0.8860 0.7935 0.4138

Peak list (10 most intense, 2θ = 10–90°, most intense first)
2θ 27.3, rel. 100; 2θ 16.8, rel. 38; 2θ 47.6, rel. 32; 2θ 49.5, rel. 29; 2θ 40.5, rel. 21; 2θ 19.9, rel. 21; 2θ 42.8, rel. 15; 2θ 34.0, rel. 15; 2θ 33.1, rel. 12; 2θ 28.3, rel. 10